This entry pairs a crystal structure of TcSnHF with its computed X-ray diffraction stick pattern. Radiation: Cu Kα. Structure: a crystal structure in Alexandria, relaxed with GGA-PBE.
Intensities are scaled so that the largest is 100.

Main lines, most intense first (2θ = 10–80°):
2θ (°), Rel. int., hkl
39.0, 100, 0 1 3
36.5, 89, 1 1 0
43.1, 61, 1 0 3
30.5, 57, 1 0 1
42.5, 55, 1 1 2
24.6, 51, 0 1 1
21.0, 44, 0 0 2
64.4, 38, 1 2 3
45.4, 35, 0 2 0
73.1, 31, 2 1 3
77.9, 25, 1 1 6
55.7, 20, 1 2 1

Structural model:
```
data_TcSnHF
_chemical_formula_sum 'Tc2 Sn2 H2 F2'
_cell_length_a 3.128
_cell_length_b 3.992
_cell_length_c 8.480
_cell_angle_alpha 90.00
_cell_angle_beta 90.00
_cell_angle_gamma 90.00
_symmetry_space_group_name_H-M 'I m m 2'
_symmetry_Int_Tables_number 44
loop_
_symmetry_equiv_pos_as_xyz
'x,y,z'
'-x,-y,z'
'-x,y,z'
'x,-y,z'
'x+1/2,y+1/2,z+1/2'
'-x+1/2,-y+1/2,z+1/2'
'-x+1/2,y+1/2,z+1/2'
'x+1/2,-y+1/2,z+1/2'
loop_
_atom_site_label
_atom_site_type_symbol
_atom_site_fract_x
_atom_site_fract_y
_atom_site_fract_z
Tc1 Tc 0.000 0.000 0.000
Sn1 Sn 0.000 0.000 0.661
H1 H 0.000 0.500 0.398
F1 F 0.000 0.500 0.876
```